Record 1
Calculated powder X-ray diffraction pattern
Compound: BaHgBr
Radiation: Cu Kα (λ = 1.5418 Å)
Structure: a cell relaxed with GGA-PBE
Kinematic intensities with the Lorentz-polarization factor, no thermal factor.

Largest 10 diffraction maxima, most intense first, 2θ from 5° to 70°:
- (1 1 1), d 3.055, 2θ 29.2, intensity 100.0
- (1 1 2), d 2.718, 2θ 33.0, intensity 89.3
- (0 0 1), d 10.316, 2θ 8.6, intensity 61.8
- (2 0 0), d 2.261, 2θ 39.9, intensity 46.9
- (0 0 3), d 3.439, 2θ 25.9, intensity 37.0
- (1 0 3), d 2.737, 2θ 32.7, intensity 34.4
- (2 0 3), d 1.889, 2θ 48.2, intensity 27.9
- (3 1 2), d 1.378, 2θ 68.0, intensity 22.5
- (3 1 1), d 1.417, 2θ 65.9, intensity 20.1
- (2 1 3), d 1.743, 2θ 52.5, intensity 17.6

```
data_BaHgBr
_cell_length_a 4.5226
_cell_length_b 4.5226
_cell_length_c 10.3160
_cell_angle_alpha 90.00
_cell_angle_beta 90.00
_cell_angle_gamma 90.00
_symmetry_space_group_name_H-M 'P 4/n m m'
_symmetry_Int_Tables_number 129
loop_
_symmetry_equiv_pos_as_xyz
'x,y,z'
'-x,-y,-z'
'-y+1/2,x,z'
'y+1/2,-x,-z'
'-x+1/2,-y+1/2,z'
'x+1/2,y+1/2,-z'
'y,-x+1/2,z'
'-y,x+1/2,-z'
'x+1/2,-y,-z'
'-x+1/2,y,z'
'-y,-x,-z'
'y,x,z'
'-x,y+1/2,-z'
'x,-y+1/2,z'
'y+1/2,x+1/2,-z'
'-y+1/2,-x+1/2,z'
loop_
_atom_site_label
_atom_site_type_symbol
_atom_site_fract_x
_atom_site_fract_y
_atom_site_fract_z
Ba1 Ba 0.2500 0.2500 0.2272
Hg1 Hg 0.2500 0.7500 0.5000
Br1 Br 0.2500 0.2500 0.8897
```



Record 2
Calculated powder X-ray diffraction pattern
Compound: CaAcPtBr
Radiation: Cu Kα (λ = 1.5418 Å)
Structure: a cell relaxed with GGA-PBE
Kinematic intensities with the Lorentz-polarization factor, no thermal factor.

Largest 10 diffraction maxima, most intense first, 2θ from 5° to 70°:
- (0 1 5), d 2.935, 2θ 30.5, intensity 100.0
- (0 0 3), d 8.007, 2θ 11.1, intensity 72.8
- (1 1 0), d 2.140, 2θ 42.2, intensity 44.3
- (0 1 2), d 3.542, 2θ 25.1, intensity 36.3
- (1 0 10), d 2.016, 2θ 45.0, intensity 28.3
- (1 0 7), d 2.518, 2θ 35.7, intensity 22.0
- (2 0 5), d 1.729, 2θ 52.9, intensity 21.4
- (1 0 1), d 3.664, 2θ 24.3, intensity 20.7
- (1 2 5), d 1.345, 2θ 69.9, intensity 18.7
- (1 1 3), d 2.068, 2θ 43.8, intensity 17.0

```
data_CaAcPtBr
_cell_length_a 4.2810
_cell_length_b 4.2810
_cell_length_c 24.0207
_cell_angle_alpha 90.00
_cell_angle_beta 90.00
_cell_angle_gamma 120.00
_symmetry_space_group_name_H-M 'R 3 m'
_symmetry_Int_Tables_number 160
_symmetry_space_group_name_Hall 'R 3 -2"'
loop_
_atom_site_label
_atom_site_type_symbol
_atom_site_fract_x
_atom_site_fract_y
_atom_site_fract_z
Ca1 Ca 0.0000 0.0000 0.0000
Ac1 Ac 0.0000 0.0000 0.8004
Pt1 Pt 0.0000 0.0000 0.3994
Br1 Br 0.0000 0.0000 0.5763
```



Record 3
Calculated powder X-ray diffraction pattern
Compound: PuMn2Te4
Radiation: Cu Kα (λ = 1.5418 Å)
Structure: a cell relaxed with GGA-PBE
Kinematic intensities with the Lorentz-polarization factor, no thermal factor.

Largest 10 diffraction maxima, most intense first, 2θ from 5° to 70°:
- (0 2 -2), d 3.194, 2θ 27.9, intensity 100.0
- (1 1 -4), d 2.072, 2θ 43.7, intensity 51.6
- (-1 1 2), d 3.146, 2θ 28.4, intensity 49.9
- (2 -2 2), d 2.482, 2θ 36.2, intensity 43.8
- (1 -3 0), d 2.466, 2θ 36.4, intensity 30.6
- (-3 1 2), d 2.455, 2θ 36.6, intensity 30.2
- (2 2 -2), d 2.087, 2θ 43.4, intensity 26.7
- (-1 1 1), d 4.886, 2θ 18.2, intensity 21.5
- (3 1 -4), d 1.737, 2θ 52.7, intensity 16.7
- (1 -1 1), d 4.962, 2θ 17.9, intensity 16.5

```
data_PuMn2Te4
_cell_length_a 7.9450
_cell_length_b 7.9792
_cell_length_c 8.2880
_cell_angle_alpha 106.06
_cell_angle_beta 104.52
_cell_angle_gamma 116.76
_symmetry_space_group_name_H-M 'P 1'
_symmetry_Int_Tables_number 1
_symmetry_space_group_name_Hall 'P 1'
loop_
_atom_site_label
_atom_site_type_symbol
_atom_site_fract_x
_atom_site_fract_y
_atom_site_fract_z
Pu1 Pu 0.0000 0.0000 0.0000
Pu2 Pu 0.4932 0.5171 0.0106
Mn1 Mn 0.2317 0.7596 0.4978
Mn2 Mn 0.5112 0.5260 0.5042
Mn3 Mn 0.7539 0.2509 0.5128
Mn4 Mn 0.7602 0.2759 0.0063
Te1 Te 0.0200 0.2998 0.8327
Te2 Te 0.0462 0.3183 0.3495
Te3 Te 0.4611 0.2095 0.6617
Te4 Te 0.4810 0.2120 0.1798
Te5 Te 0.5212 0.8127 0.8279
Te6 Te 0.5276 0.8107 0.3576
Te7 Te 0.9411 0.6832 0.6499
Te8 Te 0.9629 0.7068 0.1773
```



Record 4
Calculated powder X-ray diffraction pattern
Compound: LaInOs2
Radiation: Cu Kα (λ = 1.5418 Å)
Structure: a cell relaxed with GGA-PBE
Kinematic intensities with the Lorentz-polarization factor, no thermal factor.

Largest 10 diffraction maxima, most intense first, 2θ from 5° to 70°:
- (1 1 2), d 2.346, 2θ 38.4, intensity 100.0
- (0 2 0), d 2.451, 2θ 36.7, intensity 31.7
- (0 0 4), d 2.694, 2θ 33.3, intensity 25.9
- (1 3 2), d 1.394, 2θ 67.1, intensity 19.3
- (0 2 4), d 1.813, 2θ 50.3, intensity 16.2
- (0 1 1), d 4.463, 2θ 19.9, intensity 15.4
- (1 0 3), d 2.337, 2θ 38.5, intensity 9.3
- (0 1 5), d 1.973, 2θ 46.0, intensity 9.1
- (1 1 6), d 1.479, 2θ 62.8, intensity 8.8
- (2 0 0), d 1.538, 2θ 60.2, intensity 7.5

```
data_LaInOs2
_cell_length_a 3.0764
_cell_length_b 4.9028
_cell_length_c 10.7769
_cell_angle_alpha 90.00
_cell_angle_beta 90.00
_cell_angle_gamma 90.00
_symmetry_space_group_name_H-M 'I m m 2'
_symmetry_Int_Tables_number 44
_symmetry_space_group_name_Hall 'I 2 -2'
loop_
_atom_site_label
_atom_site_type_symbol
_atom_site_fract_x
_atom_site_fract_y
_atom_site_fract_z
La1 La 0.0000 0.0000 0.0000
In1 In 0.0000 0.5000 0.2127
Os1 Os 0.0000 0.0000 0.4815
Os2 Os 0.0000 0.5000 0.7839
```



Record 5
Calculated powder X-ray diffraction pattern
Compound: Ho6ZrS8
Radiation: Cu Kα (λ = 1.5418 Å)
Structure: a cell relaxed with GGA-PBE
Kinematic intensities with the Lorentz-polarization factor, no thermal factor.

Largest 10 diffraction maxima, most intense first, 2θ from 5° to 70°:
- (4 0 0), d 2.726, 2θ 32.9, intensity 100.0
- (4 4 0), d 1.927, 2θ 47.2, intensity 71.3
- (2 2 2), d 3.147, 2θ 28.4, intensity 69.2
- (6 2 2), d 1.644, 2θ 55.9, intensity 33.8
- (4 4 4), d 1.574, 2θ 58.7, intensity 24.5
- (2 0 0), d 5.451, 2θ 16.3, intensity 16.3
- (2 2 0), d 3.855, 2θ 23.1, intensity 14.5
- (8 0 0), d 1.363, 2θ 68.9, intensity 11.3
- (4 2 0), d 2.438, 2θ 36.9, intensity 8.9
- (4 2 2), d 2.226, 2θ 40.5, intensity 6.9

```
data_Ho6ZrS8
_cell_length_a 10.9028
_cell_length_b 10.9028
_cell_length_c 10.9028
_cell_angle_alpha 90.00
_cell_angle_beta 90.00
_cell_angle_gamma 90.00
_symmetry_space_group_name_H-M 'F m -3 m'
_symmetry_Int_Tables_number 225
_symmetry_space_group_name_Hall '-F 4 2 3'
loop_
_atom_site_label
_atom_site_type_symbol
_atom_site_fract_x
_atom_site_fract_y
_atom_site_fract_z
Ho1 Ho 0.0000 0.2500 0.2500
Zr1 Zr 0.0000 0.0000 0.0000
S1 S 0.0000 0.0000 0.2478
S2 S 0.2500 0.2500 0.2500
```



Record 6
Calculated powder X-ray diffraction pattern
Compound: ErGa2Pt3
Radiation: Cu Kα (λ = 1.5418 Å)
Structure: a cell relaxed with GGA-PBE
Kinematic intensities with the Lorentz-polarization factor, no thermal factor.

Largest 10 diffraction maxima, most intense first, 2θ from 5° to 70°:
- (1 1 -3), d 2.546, 2θ 35.3, intensity 100.0
- (0 2 0), d 2.016, 2θ 45.0, intensity 43.4
- (5 1 -2), d 2.467, 2θ 36.4, intensity 39.4
- (3 1 1), d 2.903, 2θ 30.8, intensity 30.1
- (7 1 -1), d 2.064, 2θ 43.9, intensity 25.9
- (6 0 2), d 2.091, 2θ 43.3, intensity 19.2
- (5 1 1), d 2.307, 2θ 39.0, intensity 19.0
- (5 1 -1), d 2.583, 2θ 34.7, intensity 18.2
- (2 0 4), d 2.113, 2θ 42.8, intensity 14.5
- (5 1 0), d 2.518, 2θ 35.7, intensity 14.3

```
data_ErGa2Pt3
_cell_length_a 16.8434
_cell_length_b 4.0314
_cell_length_c 9.8965
_cell_angle_alpha 90.00
_cell_angle_beta 106.83
_cell_angle_gamma 90.00
_symmetry_space_group_name_H-M 'C 1 2/m 1'
_symmetry_Int_Tables_number 12
_symmetry_space_group_name_Hall '-C 2y'
loop_
_atom_site_label
_atom_site_type_symbol
_atom_site_fract_x
_atom_site_fract_y
_atom_site_fract_z
Er1 Er 0.0000 0.0000 0.0000
Er2 Er 0.1656 0.0000 0.7104
Ga1 Ga 0.0411 0.5000 0.7803
Ga2 Ga 0.1381 0.5000 0.4544
Ga3 Ga 0.1913 0.0000 0.1233
Pt1 Pt 0.0000 0.5000 0.5000
Pt2 Pt 0.0399 0.0000 0.3308
Pt3 Pt 0.1114 0.5000 0.1859
Pt4 Pt 0.1783 0.5000 0.9499
Pt5 Pt 0.2190 0.0000 0.3897
```